Calculated X-ray diffraction stick pattern of CuAgRhCl6 for a wavelength of 1.5418 Å, from DFT lattice parameters and positions (PBE).

Peak list (10 most intense, 5 to 70 degrees two-theta, by angle)
d_spacing, Position (°2θ), intensity, h k l
4.172, 21.3, 100, 1 1 0
3.161, 28.2, 47, 1 0 3
2.786, 32.1, 26, 1 1 3
2.157, 41.9, 77, 2 1 3
2.086, 43.4, 26, 2 2 0
1.872, 48.6, 12, 0 0 6
1.866, 48.8, 12, 3 1 0
1.741, 52.6, 34, 3 0 3
1.708, 53.7, 16, 1 1 6
1.393, 67.2, 12, 2 2 6

Crystal structure
Cell lengths 5.8999, 5.8999, 11.2295 Å; angles 90.00, 90.00, 90.00 degrees
Element x y z (fractional)
Cu (0.0000, 0.0000, 0.0000)
Cu (0.5000, 0.5000, 0.5000)
Ag (0.0000, 0.0000, 0.3299)
Ag (0.5000, 0.5000, 0.8299)
Rh (0.0000, 0.0000, 0.6675)
Rh (0.5000, 0.5000, 0.1675)
Cl (0.1818, 0.1818, 0.8314)
Cl (0.1967, 0.1967, 0.5147)
Cl (0.2125, 0.2125, 0.1589)
Cl (0.2875, 0.7125, 0.6589)
Cl (0.3033, 0.6967, 0.0147)
Cl (0.3182, 0.6818, 0.3314)
Cl (0.6818, 0.3182, 0.3314)
Cl (0.6967, 0.3033, 0.0147)
Cl (0.7125, 0.2875, 0.6589)
Cl (0.7875, 0.7875, 0.1589)
Cl (0.8033, 0.8033, 0.5147)
Cl (0.8182, 0.8182, 0.8314)

Calculated X-ray diffraction stick pattern of CuAg2SnCl6 for a wavelength of 1.5418 Å, from DFT lattice parameters and positions (PBE).

Peak list (10 most intense, 5 to 70 degrees two-theta, by angle)
d_spacing, Position (°2θ), intensity, h k l
3.609, 24.7, 100, 1 0 1
3.388, 26.3, 59, 1 1 -1
2.959, 30.2, 17, 2 -1 1
2.477, 36.3, 20, 0 2 0
2.467, 36.4, 38, 2 -2 2
2.130, 42.4, 13, 1 -1 3
1.995, 45.5, 27, -3 2 1
1.958, 46.4, 29, 3 0 -1
1.952, 46.5, 15, 3 -3 1
1.803, 50.6, 13, -2 2 2

Crystal structure
Cell lengths 6.7694, 6.7698, 7.2352 Å; angles 117.77, 90.04, 119.82 degrees
Element x y z (fractional)
Cu (0.0000, 0.0000, 0.0000)
Ag (0.2608, 0.5227, 0.7853)
Ag (0.7365, 0.4721, 0.2064)
Sn (0.4997, 0.9995, 0.4992)
Cl (0.1124, 0.8749, 0.2348)
Cl (0.2372, 0.8768, 0.7644)
Cl (0.3620, 0.4749, 0.2357)
Cl (0.6378, 0.5246, 0.7642)
Cl (0.7631, 0.1236, 0.2354)
Cl (0.8872, 0.1254, 0.7652)